Starting from DFT lattice parameters and positions (GGA+U), the powder XRD pattern of Li2VFeP2H2O10 was simulated for Cu Kα (λ = 1.5418 Å).
Lines closer than 0.1° are merged.

Most intense lines, 15° ≤ 2θ ≤ 90°, in order of falling intensity:
index, 2θ/deg, I_rel
-1 2 1, 26.76, 100.0
2 0 0, 28.87, 69.1
1 -2 1, 26.48, 58.5
1 0 1, 18.73, 36.7
1 0 -1, 17.55, 30.9
3 0 -3, 54.42, 30.6
1 0 -3, 35.85, 29.2
1 -1 1, 18.46, 29.0
0 1 -2, 25.55, 25.1
1 1 -1, 25.64, 23.2

Crystal structure
```
Li2VFeP2H2O10
1.0
6.964 0.000 0.000
-3.373 6.590 0.000
-0.399 -0.388 7.980
Li V Fe P H O
4 2 2 4 4 20
Direct
0.070 0.324 0.175
0.430 0.672 0.325
0.570 0.328 0.675
0.930 0.676 0.825
0.000 0.500 0.500
0.500 0.000 0.000
0.000 0.000 0.500
0.500 0.500 0.000
0.015 0.729 0.157
0.480 0.269 0.342
0.520 0.731 0.658
0.985 0.271 0.843
0.211 0.843 0.650
0.289 0.160 0.851
0.711 0.840 0.149
0.789 0.157 0.350
0.038 0.124 0.738
0.059 0.779 0.605
0.110 0.615 0.272
0.169 0.836 0.019
0.195 0.432 0.940
0.313 0.573 0.558
0.323 0.159 0.479
0.386 0.382 0.228
0.443 0.223 0.895
0.466 0.878 0.763
0.534 0.122 0.237
0.557 0.777 0.105
0.614 0.618 0.772
0.677 0.841 0.521
0.687 0.427 0.442
0.805 0.568 0.060
0.831 0.164 0.981
0.890 0.385 0.728
0.941 0.221 0.395
0.962 0.876 0.262
```